SrAcP2Pd5: calculated powder diffractogram (Cu Kα, 1.54184 Å), based on a crystal structure in Alexandria, relaxed with GGA-PBE.
Lines closer than 0.1° are merged.

Crystal structure
abc: 4.5887 4.5887 8.6450
angles: 90.00 90.00 90.00
Space group P4/mmm (No. 123)
Inequivalent atoms, fractional coordinates:
Sr 0.0000 0.0000 0.0000 x1
Ac 0.0000 0.0000 0.5000 x1
P 0.5000 0.5000 0.3013 x2
Pd 0.0000 0.5000 0.2352 x4
Pd 0.5000 0.5000 0.0000 x1

Principal peaks in the range 2θ = 10–90°, in order of rising 2θ:
- d = 4.053 Å, rel. 24
- d = 3.146 Å, rel. 17
- d = 2.595 Å, rel. 100
- d = 2.294 Å, rel. 46
- d = 2.161 Å, rel. 16
- d = 1.622 Å, rel. 16
- d = 1.573 Å, rel. 24
- d = 1.376 Å, rel. 28
- d = 1.317 Å, rel. 12
- d = 1.297 Å, rel. 13